Record 1
LaThAsS: computed powder X-ray diffraction pattern (Cu Kα (λ = 1.5418 Å)), based on DFT lattice parameters and positions (GGA-PBE).
Peak positions follow from Bragg's law for the DFT cell and can differ from measured ones.

Most intense lines, 2θ = 5–70°, in order of falling intensity:
two_theta, I_rel
30.06, 1000
43.03, 751
25.95, 526
50.94, 270
53.37, 266
21.12, 114
68.82, 112
62.44, 83
37.05, 60
62.54, 41

Crystal structure
Lattice parameters (Å, degrees): 4.207 4.207 5.940 90.00 90.00 90.00
Space group P4/mmm (No. 123)
Inequivalent atoms, fractional coordinates:
La  0.000  0.000  0.000
Th  0.500  0.500  0.500
As  0.500  0.500  0.000
S  0.000  0.000  0.500

***

Record 2
La6SbAs4: computed powder X-ray diffraction pattern (Cu Kα (λ = 1.5418 Å)), based on DFT lattice parameters and positions (GGA-PBE).
Peak positions follow from Bragg's law for the DFT cell and can differ from measured ones.

Most intense lines, 2θ = 5–70°, in order of falling intensity:
two_theta, I_rel
28.75, 1000
27.24, 787
41.03, 647
30.17, 435
49.99, 410
27.87, 406
39.04, 289
42.86, 220
26.66, 204
41.16, 199

Crystal structure
Lattice parameters (Å, degrees): 4.395 14.340 22.081 90.00 90.00 90.00
Space group Cmcm (No. 63)
Inequivalent atoms, fractional coordinates:
La  0.000  0.000  0.000
La  0.000  0.172  0.250
La  0.000  0.273  0.582
La  0.000  0.457  0.161
Sb  0.000  0.162  0.750
As  0.000  0.091  0.126
As  0.000  0.362  0.042

***

Record 3
La5SbAs4: computed powder X-ray diffraction pattern (Cu Kα (λ = 1.5418 Å)), based on DFT lattice parameters and positions (GGA-PBE).
Peak positions follow from Bragg's law for the DFT cell and can differ from measured ones.

Most intense lines, 2θ = 5–70°, in order of falling intensity:
two_theta, I_rel
28.51, 1000
40.74, 627
66.79, 280
50.49, 267
40.84, 127
24.62, 96
59.04, 81
66.94, 57
58.92, 43
48.17, 30

Crystal structure
Lattice parameters (Å, degrees): 4.419 6.270 22.155 90.00 90.00 90.00
Space group Immm (No. 71)
Inequivalent atoms, fractional coordinates:
La  0.000  0.000  0.000
La  0.000  0.000  0.199
La  0.000  0.000  0.394
Sb  0.000  0.500  0.000
As  0.000  0.500  0.203
As  0.000  0.500  0.399